1.
This entry pairs a crystal structure of Pr3SmIn3 with its simulated X-ray powder pattern. Radiation: Cu Kα (λ = 1.5418 Å). Structure: DFT lattice parameters and positions (GGA-PBE).

Structure:
```
Pr3SmIn3
1.0
9.628 0.000 0.000
0.000 9.628 0.000
0.000 0.000 9.628
Pr Sm In
12 4 12
direct
0.072 0.428 0.572
0.173 0.827 0.327
0.175 0.175 0.175
0.325 0.825 0.675
0.327 0.173 0.827
0.428 0.572 0.072
0.572 0.072 0.428
0.673 0.673 0.673
0.675 0.325 0.825
0.825 0.675 0.325
0.827 0.327 0.173
0.928 0.928 0.928
0.075 0.575 0.925
0.425 0.425 0.425
0.575 0.925 0.075
0.925 0.075 0.575
0.002 0.253 0.871
0.129 0.502 0.247
0.247 0.129 0.502
0.253 0.871 0.002
0.371 0.498 0.747
0.498 0.747 0.371
0.502 0.247 0.129
0.629 0.998 0.753
0.747 0.371 0.498
0.753 0.629 0.998
0.871 0.002 0.253
0.998 0.753 0.629
```

Peak list (10 most intense, 5 to 70 degrees two-theta, most intense first)
29.33 deg, I 1000; 34.87 deg, I 732; 59.15 deg, I 263; 48.19 deg, I 212; 46.19 deg, I 194; 62.52 deg, I 154; 60.85 deg, I 124; 41.97 deg, I 106; 44.12 deg, I 81; 67.39 deg, I 60



2.
This entry pairs a crystal structure of BaNi3AsP with its simulated X-ray powder pattern. Radiation: Cu Kα (λ = 1.5418 Å). Structure: DFT lattice parameters and positions (GGA-PBE).

Structure:
```
BaNi3AsP
1.0
3.076 -6.124 0.000
3.076 6.124 0.000
0.000 0.000 5.982
Ba Ni As P
2 6 2 2
direct
0.245 0.755 0.750
0.755 0.245 0.250
0.248 0.752 0.250
0.286 0.286 0.000
0.286 0.286 0.500
0.714 0.714 0.000
0.714 0.714 0.500
0.752 0.248 0.750
0.064 0.936 0.250
0.936 0.064 0.750
0.421 0.579 0.250
0.579 0.421 0.750
```

Peak list (10 most intense, 5 to 70 degrees two-theta, most intense first)
42.14 deg, I 1000; 30.23 deg, I 798; 29.17 deg, I 741; 33.34 deg, I 712; 32.58 deg, I 682; 52.07 deg, I 515; 54.42 deg, I 433; 53.91 deg, I 419; 29.03 deg, I 274; 29.87 deg, I 220



3.
This entry pairs a crystal structure of Pt5Se with its simulated X-ray powder pattern. Radiation: Cu Kα (λ = 1.5418 Å). Structure: DFT lattice parameters and positions (GGA-PBE).

Structure:
```
Pt5Se
1.0
5.388 -1.410 0.000
5.388 1.410 0.000
-2.147 0.000 6.390
Pt Se
5 1
direct
0.000 0.000 0.000
0.333 0.333 0.171
0.338 0.338 0.664
0.662 0.662 0.336
0.667 0.667 0.829
0.000 0.000 0.500
```

Peak list (10 most intense, 5 to 70 degrees two-theta, most intense first)
41.59 deg, I 1000; 41.77 deg, I 989; 37.43 deg, I 664; 37.67 deg, I 658; 53.85 deg, I 241; 54.45 deg, I 228; 66.31 deg, I 131; 13.86 deg, I 62; 18.46 deg, I 43; 17.36 deg, I 32